Starting from a structure optimized by DFT (PBE), the powder X-ray diffraction pattern of Pt3I8 was computed for copper Kα.
Neutral-atom scattering factors, no anomalous dispersion.

Main lines, low angle first (15° ≤ 2θ ≤ 90°):
2θ = 16.79°, d 5.281, intensity 87
2θ = 26.44°, d 3.371, intensity 17
2θ = 29.76°, d 3.002, intensity 100
2θ = 32.28°, d 2.774, intensity 40
2θ = 34.36°, d 2.610, intensity 21
2θ = 42.59°, d 2.123, intensity 32
2θ = 43.48°, d 2.081, intensity 16
2θ = 44.47°, d 2.037, intensity 57
2θ = 54.43°, d 1.686, intensity 27
2θ = 79.29°, d 1.208, intensity 16

Cell and atoms:
```
44
Lattice="12.008 0.000 0.000 0.000 12.008 0.000 0.000 0.000 11.094" Properties=species:S:1:pos:R:3 pbc="T T T"
Pt 1.453 4.446 2.640
Pt 1.508 1.508 0.000
Pt 1.559 7.458 10.961
Pt 4.446 1.453 8.455
Pt 4.497 7.512 8.321
Pt 4.551 10.450 5.681
Pt 7.458 1.559 0.134
Pt 7.512 4.497 2.774
Pt 7.563 10.555 2.908
Pt 10.450 4.551 5.413
Pt 10.501 10.501 5.547
Pt 10.555 7.563 8.187
I 1.100 4.523 5.271
I 1.222 10.498 5.287
I 1.407 1.798 2.659
I 1.481 7.104 2.497
I 1.511 10.786 0.260
I 1.560 4.258 0.024
I 1.746 7.564 8.345
I 1.798 1.407 8.435
I 4.206 7.411 10.980
I 4.258 1.560 11.070
I 4.444 10.263 8.297
I 4.493 4.782 8.061
I 4.523 1.100 5.823
I 4.597 7.803 5.662
I 4.782 4.493 3.034
I 4.904 10.528 3.050
I 7.104 1.481 8.597
I 7.227 7.515 8.581
I 7.411 4.206 0.114
I 7.485 10.908 0.276
I 7.515 7.227 2.513
I 7.564 1.746 2.749
I 7.750 10.449 5.523
I 7.803 4.597 5.433
I 10.210 10.602 2.888
I 10.263 4.444 2.798
I 10.449 7.750 5.571
I 10.498 1.222 5.808
I 10.528 4.904 8.045
I 10.602 10.210 8.206
I 10.786 1.511 10.834
I 10.908 7.485 10.818
```



Starting from a structure optimized by DFT (PBE), the powder X-ray diffraction pattern of Tb7PtI12 was computed for copper Kα.
Neutral-atom scattering factors, no anomalous dispersion.

Main lines, low angle first (15° ≤ 2θ ≤ 90°):
2θ = 24.93°, d 3.571, intensity 14
2θ = 27.39°, d 3.256, intensity 6
2θ = 28.87°, d 3.093, intensity 100
2θ = 33.87°, d 2.646, intensity 5
2θ = 41.28°, d 2.187, intensity 72
2θ = 48.83°, d 1.865, intensity 9
2θ = 51.15°, d 1.786, intensity 23
2θ = 59.80°, d 1.546, intensity 11
2θ = 67.75°, d 1.383, intensity 27
2θ = 75.29°, d 1.262, intensity 14

Cell and atoms:
```
20
Lattice="7.880 4.550 3.576 -7.880 4.550 3.576 0.000 -9.100 3.576" Properties=species:S:1:pos:R:3 pbc="T T T"
Tb 0.000 0.000 0.000
Tb -1.608 -1.559 3.792
Tb -0.546 2.172 3.792
Tb 2.154 -0.613 3.792
Tb -2.154 0.613 6.936
Tb 0.546 -2.172 6.936
Tb 1.608 1.559 6.936
Pt 0.000 0.000 5.364
I -2.465 0.707 1.724
I 0.620 -2.488 1.724
I -4.309 -1.098 5.300
I -1.204 -4.280 5.428
I 1.845 1.781 1.724
I -3.105 3.183 5.428
I 3.105 -3.183 5.300
I -1.845 -1.781 9.004
I 1.204 4.280 5.300
I 4.309 1.098 5.428
I -0.620 2.488 9.004
I 2.465 -0.707 9.004
```



What did the first record say?
Starting from a structure optimized by DFT (PBE), the powder X-ray diffraction pattern of Pt3I8 was computed for copper Kα.
Neutral-atom scattering factors, no anomalous dispersion.

Main lines, low angle first (15° ≤ 2θ ≤ 90°):
2θ = 16.79°, d 5.281, intensity 87
2θ = 26.44°, d 3.371, intensity 17
2θ = 29.76°, d 3.002, intensity 100
2θ = 32.28°, d 2.774, intensity 40
2θ = 34.36°, d 2.610, intensity 21
2θ = 42.59°, d 2.123, intensity 32
2θ = 43.48°, d 2.081, intensity 16
2θ = 44.47°, d 2.037, intensity 57
2θ = 54.43°, d 1.686, intensity 27
2θ = 79.29°, d 1.208, intensity 16

Cell and atoms:
```
44
Lattice="12.008 0.000 0.000 0.000 12.008 0.000 0.000 0.000 11.094" Properties=species:S:1:pos:R:3 pbc="T T T"
Pt 1.453 4.446 2.640
Pt 1.508 1.508 0.000
Pt 1.559 7.458 10.961
Pt 4.446 1.453 8.455
Pt 4.497 7.512 8.321
Pt 4.551 10.450 5.681
Pt 7.458 1.559 0.134
Pt 7.512 4.497 2.774
Pt 7.563 10.555 2.908
Pt 10.450 4.551 5.413
Pt 10.501 10.501 5.547
Pt 10.555 7.563 8.187
I 1.100 4.523 5.271
I 1.222 10.498 5.287
I 1.407 1.798 2.659
I 1.481 7.104 2.497
I 1.511 10.786 0.260
I 1.560 4.258 0.024
I 1.746 7.564 8.345
I 1.798 1.407 8.435
I 4.206 7.411 10.980
I 4.258 1.560 11.070
I 4.444 10.263 8.297
I 4.493 4.782 8.061
I 4.523 1.100 5.823
I 4.597 7.803 5.662
I 4.782 4.493 3.034
I 4.904 10.528 3.050
I 7.104 1.481 8.597
I 7.227 7.515 8.581
I 7.411 4.206 0.114
I 7.485 10.908 0.276
I 7.515 7.227 2.513
I 7.564 1.746 2.749
I 7.750 10.449 5.523
I 7.803 4.597 5.433
I 10.210 10.602 2.888
I 10.263 4.444 2.798
I 10.449 7.750 5.571
I 10.498 1.222 5.808
I 10.528 4.904 8.045
I 10.602 10.210 8.206
I 10.786 1.511 10.834
I 10.908 7.485 10.818
```



Q: Which formula does entry 1 have?
A: Pt3I8